Entry 1:
This entry pairs a crystal structure of LaCeAl4 with its simulated XRD peak list. Radiation: Cu Kα, 1.54184 Å. Structure: a structure optimized by DFT (PBE).
Kinematic intensities with the Lorentz-polarization factor, no thermal factor.

Crystal structure
```
LaCeAl4
1.0
0.000 4.014 4.014
4.014 0.000 4.014
4.014 4.014 0.000
La Ce Al
1 1 4
Cartesian
0.000 0.000 0.000
6.021 6.021 6.021
3.013 3.013 3.013
5.015 5.015 3.013
5.015 3.013 5.015
3.013 5.015 5.015
```

Principal peaks in the range 5 to 70 degrees two-theta, by intensity:
d [Å], Rel. int.
2.421, 100
2.838, 96
4.635, 55
1.639, 37
1.545, 33
1.419, 22
1.842, 14
1.357, 10
2.007, 7
2.317, 5



Entry 2:
This entry pairs a crystal structure of Li2CeAl with its simulated XRD peak list. Radiation: Cu Kα, 1.54184 Å. Structure: a structure optimized by DFT (PBE).
Kinematic intensities with the Lorentz-polarization factor, no thermal factor.

Crystal structure
```
Li2CeAl
1.0
5.277 0.000 0.000
-2.574 4.612 0.000
-0.012 -3.014 4.372
Li Ce Al
2 1 1
Cartesian
-1.258 3.858 1.092
3.949 -2.259 3.280
-1.293 0.799 2.186
1.352 2.306 0.000
```

Principal peaks in the range 5 to 70 degrees two-theta, by intensity:
d [Å], Rel. int.
3.743, 100
4.369, 73
3.797, 52
2.658, 52
2.639, 51
4.332, 36
4.302, 35
2.266, 33
2.688, 27
2.673, 26



Entry 3:
This entry pairs a crystal structure of Li2CeAl with its simulated XRD peak list. Radiation: Cu Kα, 1.54184 Å. Structure: a structure optimized by DFT (PBE).
Kinematic intensities with the Lorentz-polarization factor, no thermal factor.

Crystal structure
```
Li2CeAl
1.0
6.835 0.000 0.000
0.000 6.835 0.000
0.000 0.000 6.835
Li Ce Al
8 4 4
Cartesian
1.709 1.709 1.709
1.709 1.709 5.126
1.709 5.126 1.709
1.709 5.126 5.126
5.126 1.709 1.709
5.126 1.709 5.126
5.126 5.126 1.709
5.126 5.126 5.126
0.000 0.000 0.000
0.000 3.417 3.417
3.417 0.000 3.417
3.417 3.417 0.000
0.000 0.000 3.417
0.000 3.417 0.000
3.417 0.000 0.000
3.417 3.417 3.417
```

Principal peaks in the range 5 to 70 degrees two-theta, by intensity:
d [Å], Rel. int.
3.417, 100
2.416, 100
3.946, 96
2.061, 51
1.528, 37
1.395, 35
1.973, 28
1.568, 21
1.709, 17



Entry 4:
This entry pairs a crystal structure of CeMg14Al with its simulated XRD peak list. Radiation: Cu Kα, 1.54184 Å. Structure: a structure optimized by DFT (PBE).
Kinematic intensities with the Lorentz-polarization factor, no thermal factor.

Crystal structure
```
CeMg14Al
1.0
10.337 0.000 0.000
0.000 3.209 5.667
0.000 -3.209 5.667
Ce Mg Al
1 14 1
Cartesian
0.000 0.000 0.000
0.000 -1.545 2.859
0.000 1.545 2.859
2.428 0.000 7.459
2.629 -1.574 4.658
2.629 1.574 4.658
2.683 0.000 1.853
5.169 0.000 5.642
5.169 -1.582 8.453
5.169 1.582 8.453
5.169 0.000 11.284
7.654 0.000 1.853
7.708 -1.574 4.658
7.708 1.574 4.658
7.910 0.000 7.459
0.000 0.000 5.479
```

Principal peaks in the range 5 to 70 degrees two-theta, by intensity:
d [Å], Rel. int.
2.457, 100
2.485, 55
10.337, 46
2.584, 38
4.913, 33
2.792, 30
5.585, 22
3.793, 21
1.377, 20
4.970, 19



Entry 5:
This entry pairs a crystal structure of CeMg14Al with its simulated XRD peak list. Radiation: Cu Kα, 1.54184 Å. Structure: a structure optimized by DFT (PBE).
Kinematic intensities with the Lorentz-polarization factor, no thermal factor.

Crystal structure
```
CeMg14Al
1.0
6.433 0.000 0.000
-3.217 5.571 0.000
0.000 0.000 10.321
Ce Mg Al
1 14 1
Cartesian
0.000 0.000 0.000
-1.539 2.825 0.000
0.000 1.852 2.678
0.000 1.852 7.642
-1.613 4.645 2.678
-1.613 4.645 7.642
1.539 2.825 0.000
0.000 5.492 0.000
3.217 0.029 5.160
1.633 2.771 5.160
3.217 1.857 2.461
3.217 1.857 7.859
1.613 4.645 2.678
1.613 4.645 7.642
4.800 2.771 5.160
0.000 0.000 5.160
```

Principal peaks in the range 5 to 70 degrees two-theta, by intensity:
d [Å], Rel. int.
2.451, 100
4.903, 32
2.786, 27
10.321, 25
2.580, 25
5.571, 25
3.786, 20
1.365, 19
1.464, 18
1.608, 17



Entry 6:
This entry pairs a crystal structure of Ce2Mn3Al with its simulated XRD peak list. Radiation: Cu Kα, 1.54184 Å. Structure: a structure optimized by DFT (PBE).
Kinematic intensities with the Lorentz-polarization factor, no thermal factor.

Crystal structure
```
Ce2Mn3Al
1.0
5.385 0.000 0.000
-2.693 4.664 0.000
0.000 0.000 8.452
Ce Mn Al
4 6 2
Cartesian
0.000 3.109 0.600
0.000 3.109 3.626
2.693 1.555 4.826
2.693 1.555 7.852
0.000 1.594 6.339
-1.312 3.867 6.339
1.380 0.797 2.113
1.312 3.867 6.339
4.005 0.797 2.113
2.693 3.070 2.113
0.000 0.000 0.000
0.000 0.000 4.226
```

Principal peaks in the range 5 to 70 degrees two-theta, by intensity:
d [Å], Rel. int.
2.411, 100
2.271, 68
2.248, 61
2.693, 52
1.494, 41
4.664, 25
1.369, 21
2.332, 21
1.346, 20
3.131, 17



Entry 7:
This entry pairs a crystal structure of Ce2Mn7Al10 with its simulated XRD peak list. Radiation: Cu Kα, 1.54184 Å. Structure: a structure optimized by DFT (PBE).
Kinematic intensities with the Lorentz-polarization factor, no thermal factor.

Crystal structure
```
Ce2Mn7Al10
1.0
4.997 -4.458 0.000
4.997 4.458 0.000
-1.103 0.000 6.608
Ce Mn Al
2 7 10
Cartesian
0.000 0.000 0.000
6.619 0.000 1.978
-0.523 0.000 3.393
1.366 2.142 6.592
5.222 2.288 4.375
3.237 0.000 1.016
1.366 -2.142 6.592
5.943 0.000 5.402
5.222 -2.288 4.375
2.676 2.776 4.417
1.534 1.309 2.371
4.040 2.235 2.071
1.507 0.000 5.066
1.534 -1.309 2.371
3.903 1.341 6.298
4.009 0.000 3.647
3.903 -1.341 6.298
2.676 -2.776 4.417
4.040 -2.235 2.071
```

Principal peaks in the range 5 to 70 degrees two-theta, by intensity:
d [Å], Rel. int.
2.206, 100
2.218, 84
3.096, 78
2.153, 59
3.083, 44
2.229, 40
1.548, 36
6.611, 36
2.978, 35
2.478, 26



Entry 8:
This entry pairs a crystal structure of Ce2Al41Mo3 with its simulated XRD peak list. Radiation: Cu Kα, 1.54184 Å. Structure: a structure optimized by DFT (PBE).
Kinematic intensities with the Lorentz-polarization factor, no thermal factor.

Crystal structure
```
Ce2Al41Mo3
1.0
5.182 2.992 8.411
-5.182 2.992 8.411
0.000 -5.983 8.411
Ce Al Mo
2 41 3
Cartesian
0.000 0.000 3.156
0.000 0.000 22.078
0.000 0.000 0.000
-5.182 0.000 12.617
-2.591 1.496 4.206
-1.392 -0.804 5.943
-1.389 -3.604 9.887
-3.815 0.599 9.887
-2.424 -1.399 13.094
-2.427 -3.004 15.347
-3.815 -0.599 15.347
0.000 -1.645 8.312
-1.425 0.823 8.312
-1.417 -0.818 10.623
1.392 -0.804 5.943
1.389 -3.604 9.887
0.000 1.607 5.943
0.000 -2.799 12.140
-2.427 3.004 9.887
-2.424 1.399 12.140
-1.425 -0.823 16.922
0.000 -1.636 14.612
-1.417 0.818 14.612
2.591 1.496 4.206
0.000 0.000 12.617
1.417 -0.818 10.623
0.000 1.636 10.623
1.425 0.823 8.312
2.424 -1.399 13.094
2.427 -3.004 15.347
0.000 2.799 13.094
0.000 -1.607 19.291
-1.389 3.604 15.347
-1.392 0.804 19.291
1.417 0.818 14.612
1.425 -0.823 16.922
0.000 1.645 16.922
3.815 0.599 9.887
2.427 3.004 9.887
2.424 1.399 12.140
3.815 -0.599 15.347
1.389 3.604 15.347
1.392 0.804 19.291
-2.591 -1.496 8.411
-2.591 1.496 16.823
0.000 2.992 8.411
```

Principal peaks in the range 5 to 70 degrees two-theta, by intensity:
d [Å], Rel. int.
4.412, 100
2.233, 66
2.207, 59
2.313, 51
5.165, 41
2.468, 32
2.591, 26
2.581, 26
2.814, 22
2.477, 22



Entry 9:
This entry pairs a crystal structure of Ce3AlN with its simulated XRD peak list. Radiation: Cu Kα, 1.54184 Å. Structure: a structure optimized by DFT (PBE).
Kinematic intensities with the Lorentz-polarization factor, no thermal factor.

Crystal structure
```
Ce3AlN
1.0
4.868 0.000 0.000
0.000 4.868 0.000
0.000 0.000 4.868
Ce Al N
3 1 1
Cartesian
0.000 0.000 2.434
0.000 2.434 0.000
2.434 0.000 0.000
2.434 2.434 2.434
0.000 0.000 0.000
```

Principal peaks in the range 5 to 70 degrees two-theta, by intensity:
d [Å], Rel. int.
2.811, 100
2.434, 57
1.468, 42
1.721, 39
4.868, 26
1.405, 13
3.442, 13
2.177, 12
1.987, 6
1.623, 6



Entry 10:
This entry pairs a crystal structure of Ce2AlNO3 with its simulated XRD peak list. Radiation: Cu Kα, 1.54184 Å. Structure: a structure optimized by DFT (PBE).
Kinematic intensities with the Lorentz-polarization factor, no thermal factor.

Crystal structure
```
Ce2AlNO3
1.0
3.745 0.000 0.000
0.000 3.745 0.000
0.000 0.000 12.428
Ce Al N O
4 2 2 6
Cartesian
0.000 0.000 0.000
0.000 0.000 3.654
1.873 1.873 6.214
1.873 1.873 9.868
0.000 0.000 7.980
1.873 1.873 1.766
0.000 0.000 5.945
1.873 1.873 12.159
0.000 0.000 10.087
0.000 1.873 1.881
0.000 1.873 8.095
1.873 0.000 1.881
1.873 0.000 8.095
1.873 1.873 3.873
```

Principal peaks in the range 5 to 70 degrees two-theta, by intensity:
d [Å], Rel. int.
2.778, 100
2.648, 61
3.586, 46
2.016, 39
1.553, 38
1.873, 31
1.604, 27
3.107, 19
2.071, 17
1.632, 16



Entry 11:
This entry pairs a crystal structure of CeAl3Ni2 with its simulated XRD peak list. Radiation: Cu Kα, 1.54184 Å. Structure: a structure optimized by DFT (PBE).
Kinematic intensities with the Lorentz-polarization factor, no thermal factor.

Crystal structure
```
CeAl3Ni2
1.0
5.279 0.000 0.000
-2.640 4.572 0.000
0.000 0.000 4.047
Ce Al Ni
1 3 2
Cartesian
0.000 0.000 0.000
-1.320 2.286 2.024
2.640 0.000 2.024
1.320 2.286 2.024
0.000 3.048 0.000
2.640 1.524 0.000
```

Principal peaks in the range 5 to 70 degrees two-theta, by intensity:
d [Å], Rel. int.
2.211, 100
2.640, 56
4.047, 33
3.030, 28
1.606, 24
1.426, 24
2.024, 18
2.286, 15
1.524, 10
1.589, 9



Entry 12:
This entry pairs a crystal structure of CeAlNi4 with its simulated XRD peak list. Radiation: Cu Kα, 1.54184 Å. Structure: a structure optimized by DFT (PBE).
Kinematic intensities with the Lorentz-polarization factor, no thermal factor.

Crystal structure
```
CeAlNi4
1.0
5.038 0.000 0.000
0.000 8.373 0.000
0.000 0.000 4.079
Ce Al Ni
2 2 8
Cartesian
0.000 0.000 0.000
2.519 4.186 0.000
0.000 4.186 2.039
2.519 0.000 2.039
0.000 2.783 0.000
0.000 5.590 0.000
1.260 2.093 2.039
1.260 6.280 2.039
2.519 1.403 0.000
2.519 6.969 0.000
3.779 2.093 2.039
3.779 6.280 2.039
```

Principal peaks in the range 5 to 70 degrees two-theta, by intensity:
d [Å], Rel. int.
2.095, 100
2.143, 73
2.441, 46
2.039, 41
2.921, 40
2.158, 29
2.965, 27
1.565, 22
1.357, 20
1.482, 20



Entry 13:
This entry pairs a crystal structure of CeAlNi4 with its simulated XRD peak list. Radiation: Cu Kα, 1.54184 Å. Structure: a structure optimized by DFT (PBE).
Kinematic intensities with the Lorentz-polarization factor, no thermal factor.

Crystal structure
```
CeAlNi4
1.0
5.115 0.000 0.000
-2.557 4.429 0.000
0.000 0.000 3.900
Ce Al Ni
1 1 4
Cartesian
0.000 0.000 0.000
0.000 2.953 0.000
2.557 0.019 1.950
1.295 2.205 1.950
2.557 1.476 0.000
3.820 2.205 1.950
```

Principal peaks in the range 5 to 70 degrees two-theta, by intensity:
d [Å], Rel. int.
2.139, 100
2.927, 72
2.215, 53
1.463, 27
2.557, 27
1.950, 26
1.381, 23
1.538, 21
1.551, 11
1.926, 9